# 1
Starting from the GGA+U geometry in Alexandria, the powder X-ray diffraction pattern of Sr2GdCrCu2O8 was calculated for Cu Kα (λ = 1.5418 Å).

Most intense lines, 2θ = 10–90°, by intensity:
| 2θ/deg | intensity | index |
| --- | --- | --- |
| 32.84 | 100 | 3 1 1 |
| 58.64 | 40 | 6 2 0 |
| 47.13 | 30 | 0 2 2 |
| 68.85 | 13 | 0 0 4 |
| 78.41 | 13 | 3 3 3 |
| 40.52 | 10 | 3 2 0 |

Crystal structure
a = 11.5675 Å, b = 5.4484 Å, c = 5.4598 Å
α = 90.00°, β = 90.00°, γ = 90.00°
Space group Amm2 (No. 38)
Asymmetric unit:
Sr  0.1648  0.0000  0.0000 [4 per cell]
Gd  0.5000  0.0000  0.9988 [2 per cell]
Cr  0.0000  0.0000  0.5003 [2 per cell]
Cu  0.3430  0.0000  0.4986 [4 per cell]
O  0.0000  0.2501  0.2504 [4 per cell]
O  0.1659  0.0000  0.5004 [4 per cell]
O  0.3738  0.2499  0.2487 [8 per cell]


# 2
Starting from the GGA+U geometry in Alexandria, the powder X-ray diffraction pattern of Cr5CuGe2O12 was calculated for Cu Kα (λ = 1.5418 Å).

Most intense lines, 2θ = 10–90°, by intensity:
| 2θ/deg | intensity | index |
| --- | --- | --- |
| 35.17 | 100 | 3 1 2 |
| 35.49 | 89 | 3 3 0 |
| 62.60 | 68 | 6 4 2 |
| 31.69 | 60 | 5 1 1 |
| 27.75 | 44 | 2 2 1 |
| 31.12 | 29 | 6 0 0 |

Crystal structure
a = 17.2428 Å, b = 8.4552 Å, c = 6.0494 Å
α = 90.00°, β = 90.00°, γ = 90.00°
Space group Cmcm (No. 63)
Asymmetric unit:
Cr  0.0000  0.0000  0.0000 [4 per cell]
Cr  0.0869  0.2486  0.2500 [8 per cell]
Cr  0.1736  0.5000  0.0000 [8 per cell]
Cu  0.0000  0.3807  0.7500 [4 per cell]
Ge  0.1664  0.1445  0.7500 [8 per cell]
O  0.0000  0.2322  0.0314 [8 per cell]
O  0.0815  0.0045  0.7500 [8 per cell]
O  0.0977  0.4800  0.2500 [8 per cell]
O  0.1636  0.2594  0.5070 [16 per cell]
O  0.2471  0.0156  0.7500 [8 per cell]